# 1
Computed X-ray diffraction stick pattern of K3MnBe for a wavelength of 1.5418 Å, from the PBE geometry in Alexandria.

```
data_K3MnBe
_symmetry_space_group_name_H-M 'P 1'
_symmetry_Int_Tables_number 1
_symmetry_space_group_name_Hall 'P 1'
_cell_length_a 6.591
_cell_length_b 6.591
_cell_length_c 6.591
_cell_angle_alpha 90.00
_cell_angle_beta 90.00
_cell_angle_gamma 90.00
loop_
_atom_site_label
_atom_site_type_symbol
_atom_site_fract_x
_atom_site_fract_y
_atom_site_fract_z
K1 K 0.000 0.000 0.500
K2 K 0.000 0.500 0.000
K3 K 0.500 0.000 0.000
Mn1 Mn 0.000 0.000 0.000
Be1 Be 0.500 0.500 0.500
```

Peak list (10 most intense, 2θ = 15–90°, sorted by position)
2theta  I_rel
23.4  32
27.1  100
30.3  70
38.6  71
41.1  36
47.8  24
49.9  15
57.7  19
63.1  29
69.9  20

# 2
Computed X-ray diffraction stick pattern of PmPb4S5 for a wavelength of 1.5418 Å, from the PBE geometry in Alexandria.

```
data_PmPb4S5
_symmetry_space_group_name_H-M 'P 1'
_symmetry_Int_Tables_number 1
_symmetry_space_group_name_Hall 'P 1'
_cell_length_a 7.357
_cell_length_b 7.357
_cell_length_c 7.357
_cell_angle_alpha 99.45
_cell_angle_beta 99.45
_cell_angle_gamma 132.19
loop_
_atom_site_label
_atom_site_type_symbol
_atom_site_fract_x
_atom_site_fract_y
_atom_site_fract_z
Pm1 Pm 0.000 0.000 0.000
Pb1 Pb 0.198 0.604 0.801
Pb2 Pb 0.396 0.198 0.594
Pb3 Pb 0.604 0.802 0.406
Pb4 Pb 0.802 0.396 0.199
S1 S 0.100 0.280 0.380
S2 S 0.280 0.900 0.181
S3 S 0.500 0.500 0.000
S4 S 0.720 0.100 0.819
S5 S 0.900 0.720 0.620
```

Peak list (10 most intense, 2θ = 15–90°, sorted by position)
2theta  I_rel
25.7  100
29.7  71
30.0  35
42.5  26
42.7  53
50.3  35
50.7  17
52.9  28
68.2  15
77.9  18

# 3
Computed X-ray diffraction stick pattern of TlTeOs2 for a wavelength of 1.5418 Å, from the PBE geometry in Alexandria.

```
data_TlTeOs2
_symmetry_space_group_name_H-M 'P 1'
_symmetry_Int_Tables_number 1
_symmetry_space_group_name_Hall 'P 1'
_cell_length_a 2.874
_cell_length_b 3.605
_cell_length_c 8.389
_cell_angle_alpha 90.00
_cell_angle_beta 90.04
_cell_angle_gamma 90.00
loop_
_atom_site_label
_atom_site_type_symbol
_atom_site_fract_x
_atom_site_fract_y
_atom_site_fract_z
Tl1 Tl 0.000 0.000 0.000
Te1 Te 0.003 0.500 0.642
Os1 Os 0.003 0.000 0.395
Os2 Os 0.502 0.500 0.254
```

Peak list (10 most intense, 2θ = 15–90°, sorted by position)
2theta  I_rel
31.1  20
32.0  30
32.8  100
38.0  38
40.1  39
40.8  36
41.6  61
45.2  32
45.8  28
50.6  24

# 4
Computed X-ray diffraction stick pattern of Na4In2SnPb2 for a wavelength of 1.5418 Å, from the PBE geometry in Alexandria.

```
data_Na4In2SnPb2
_symmetry_space_group_name_H-M 'P 1'
_symmetry_Int_Tables_number 1
_symmetry_space_group_name_Hall 'P 1'
_cell_length_a 6.166
_cell_length_b 6.776
_cell_length_c 7.215
_cell_angle_alpha 71.93
_cell_angle_beta 69.18
_cell_angle_gamma 89.75
loop_
_atom_site_label
_atom_site_type_symbol
_atom_site_fract_x
_atom_site_fract_y
_atom_site_fract_z
Na1 Na 0.129 0.176 0.274
Na2 Na 0.317 0.645 0.360
Na3 Na 0.683 0.355 0.640
Na4 Na 0.871 0.824 0.726
In1 In 0.309 0.611 0.896
In2 In 0.691 0.389 0.104
Sn1 Sn 0.500 0.000 0.500
Pb1 Pb 0.111 0.219 0.805
Pb2 Pb 0.889 0.781 0.195
```

Peak list (10 most intense, 2θ = 15–90°, sorted by position)
2theta  I_rel
16.5  100
19.8  51
22.7  51
24.8  44
32.5  61
32.7  65
33.4  60
33.7  54
34.0  55
37.1  44

# 5
Computed X-ray diffraction stick pattern of Pm4NiPd for a wavelength of 1.5418 Å, from the PBE geometry in Alexandria.

```
data_Pm4NiPd
_symmetry_space_group_name_H-M 'P 1'
_symmetry_Int_Tables_number 1
_symmetry_space_group_name_Hall 'P 1'
_cell_length_a 7.017
_cell_length_b 7.017
_cell_length_c 6.437
_cell_angle_alpha 90.00
_cell_angle_beta 90.00
_cell_angle_gamma 90.00
loop_
_atom_site_label
_atom_site_type_symbol
_atom_site_fract_x
_atom_site_fract_y
_atom_site_fract_z
Pm1 Pm 0.173 0.314 0.000
Pm2 Pm 0.173 0.686 0.500
Pm3 Pm 0.314 0.173 0.500
Pm4 Pm 0.314 0.827 0.000
Pm5 Pm 0.686 0.173 0.000
Pm6 Pm 0.686 0.827 0.500
Pm7 Pm 0.827 0.314 0.500
Pm8 Pm 0.827 0.686 0.000
Ni1 Ni 0.000 0.000 0.250
Ni2 Ni 0.000 0.000 0.750
Pd1 Pd 0.500 0.500 0.250
Pd2 Pd 0.500 0.500 0.750
```

Peak list (10 most intense, 2θ = 15–90°, sorted by position)
2theta  I_rel
27.7  18
31.7  100
33.2  21
36.2  17
37.9  55
40.7  26
51.6  26
55.9  32
63.2  21
70.6  16

# 6
Computed X-ray diffraction stick pattern of Tl5In2Sn for a wavelength of 1.5418 Å, from the PBE geometry in Alexandria.

```
data_Tl5In2Sn
_symmetry_space_group_name_H-M 'P 1'
_symmetry_Int_Tables_number 1
_symmetry_space_group_name_Hall 'P 1'
_cell_length_a 6.607
_cell_length_b 6.607
_cell_length_c 14.899
_cell_angle_alpha 90.00
_cell_angle_beta 90.00
_cell_angle_gamma 131.35
loop_
_atom_site_label
_atom_site_type_symbol
_atom_site_fract_x
_atom_site_fract_y
_atom_site_fract_z
Tl1 Tl 0.033 0.967 0.750
Tl2 Tl 0.133 0.867 0.033
Tl3 Tl 0.133 0.867 0.467
Tl4 Tl 0.434 0.566 0.104
Tl5 Tl 0.434 0.566 0.396
Tl6 Tl 0.566 0.434 0.604
Tl7 Tl 0.566 0.434 0.896
Tl8 Tl 0.867 0.133 0.533
Tl9 Tl 0.867 0.133 0.967
Tl10 Tl 0.967 0.033 0.250
In1 In 0.296 0.704 0.642
In2 In 0.296 0.704 0.858
In3 In 0.704 0.296 0.142
In4 In 0.704 0.296 0.358
Sn1 Sn 0.239 0.761 0.250
Sn2 Sn 0.761 0.239 0.750
```

Peak list (10 most intense, 2θ = 15–90°, sorted by position)
2theta  I_rel
30.0  100
30.2  44
30.3  31
32.1  30
32.9  63
33.1  85
35.1  34
45.3  21
46.6  22
57.0  41

# 7
Computed X-ray diffraction stick pattern of Ag7Pt5 for a wavelength of 1.5418 Å, from the PBE geometry in Alexandria.

```
data_Ag7Pt5
_symmetry_space_group_name_H-M 'P 1'
_symmetry_Int_Tables_number 1
_symmetry_space_group_name_Hall 'P 1'
_cell_length_a 4.952
_cell_length_b 5.764
_cell_length_c 7.582
_cell_angle_alpha 79.73
_cell_angle_beta 77.58
_cell_angle_gamma 73.54
loop_
_atom_site_label
_atom_site_type_symbol
_atom_site_fract_x
_atom_site_fract_y
_atom_site_fract_z
Ag1 Ag 0.000 0.000 0.000
Ag2 Ag 0.005 0.838 0.666
Ag3 Ag 0.493 0.335 0.168
Ag4 Ag 0.497 0.829 0.171
Ag5 Ag 0.503 0.171 0.829
Ag6 Ag 0.507 0.665 0.832
Ag7 Ag 0.995 0.162 0.334
Pt1 Pt 0.000 0.500 0.000
Pt2 Pt 0.013 0.342 0.662
Pt3 Pt 0.500 0.000 0.500
Pt4 Pt 0.500 0.500 0.500
Pt5 Pt 0.987 0.658 0.338
```

Peak list (10 most intense, 2θ = 15–90°, sorted by position)
2theta  I_rel
38.2  34
38.4  100
44.3  22
44.7  22
44.9  21
65.1  14
77.6  8
77.8  8
78.3  8
78.5  8

# 8
Computed X-ray diffraction stick pattern of Dy4AgHg2Au for a wavelength of 1.5418 Å, from the PBE geometry in Alexandria.

```
data_Dy4AgHg2Au
_symmetry_space_group_name_H-M 'P 1'
_symmetry_Int_Tables_number 1
_symmetry_space_group_name_Hall 'P 1'
_cell_length_a 8.977
_cell_length_b 8.977
_cell_length_c 8.977
_cell_angle_alpha 33.60
_cell_angle_beta 33.60
_cell_angle_gamma 33.60
loop_
_atom_site_label
_atom_site_type_symbol
_atom_site_fract_x
_atom_site_fract_y
_atom_site_fract_z
Dy1 Dy 0.122 0.122 0.122
Dy2 Dy 0.373 0.373 0.373
Dy3 Dy 0.627 0.627 0.627
Dy4 Dy 0.878 0.878 0.878
Ag1 Ag 0.500 0.500 0.500
Hg1 Hg 0.246 0.246 0.246
Hg2 Hg 0.754 0.754 0.754
Au1 Au 0.000 0.000 0.000
```

Peak list (10 most intense, 2θ = 15–90°, sorted by position)
2theta  I_rel
20.1  1
21.0  1
34.6  100
47.6  1
49.7  18
62.0  37
65.9  1
73.0  11
83.3  16
86.8  1